For CsMg3Sn2, the PBE geometry in Alexandria gives the calculated X-ray diffraction stick pattern in this record (Cu Kα (weighted mean of Kα1 and Kα2)).

Main lines, sorted by position (10 to 90 degrees two-theta):
two_theta  d [Å]  I_rel
24.26  3.669  100
26.37  3.379  46
26.60  3.352  59
32.09  2.789  27
32.88  2.724  32
36.91  2.435  36

Crystal structure
a b c (Å): 17.9556 4.8700 9.2957
angles (deg): 90.00 111.24 90.00
Space group C2/m (No. 12)
One atom of each set of equivalent atoms:
Cs (0.1626, 0.0000, 0.0671)
Mg (0.0325, 0.0000, 0.3475)
Mg (0.0862, 0.5000, 0.6617)
Mg (0.1800, 0.5000, 0.4359)
Sn (0.0248, 0.5000, 0.1711)
Sn (0.1719, 0.0000, 0.6400)

For Cs2MgTl3Sn4, the PBE geometry in Alexandria gives the calculated X-ray diffraction stick pattern in this record (Cu Kα (weighted mean of Kα1 and Kα2)).

Main lines, sorted by position (10 to 90 degrees two-theta):
two_theta  d [Å]  I_rel
27.12  3.288  79
27.84  3.205  100
34.09  2.630  91
37.35  2.408  53
39.56  2.278  42
44.10  2.054  43

Crystal structure
a b c (Å): 5.2594 5.2594 12.6375
angles (deg): 90.00 90.00 90.00
Space group P-4m2 (No. 115)
One atom of each set of equivalent atoms:
Cs (0.0000, 0.5000, 0.2485)
Mg (0.5000, 0.5000, 0.0000)
Tl (0.0000, 0.0000, 0.0000)
Tl (0.0000, 0.5000, 0.6360)
Sn (0.0000, 0.0000, 0.5000)
Sn (0.0000, 0.5000, 0.8753)
Sn (0.5000, 0.5000, 0.5000)

For CsSrMg, the PBE geometry in Alexandria gives the calculated X-ray diffraction stick pattern in this record (Cu Kα (weighted mean of Kα1 and Kα2)).

Main lines, sorted by position (10 to 90 degrees two-theta):
two_theta  d [Å]  I_rel
19.87  4.467  52
21.33  4.165  100
23.45  3.794  49
24.40  3.648  52
24.75  3.597  52
25.58  3.482  47

Crystal structure
a b c (Å): 5.1973 7.0698 10.2538
angles (deg): 80.18 89.21 89.98
Space group P-1 (No. 2)
One atom of each set of equivalent atoms:
Cs (0.2417, 0.2875, 0.3488)
Sr (0.2541, 0.1546, 0.8632)
Mg (0.2507, 0.6216, 0.9739)

For Cs3Mg2Te4, the PBE geometry in Alexandria gives the calculated X-ray diffraction stick pattern in this record (Cu Kα (weighted mean of Kα1 and Kα2)).

Main lines, sorted by position (10 to 90 degrees two-theta):
two_theta  d [Å]  I_rel
18.92  4.691  14
26.02  3.425  100
28.54  3.127  27
29.65  3.013  42
40.60  2.222  16
50.39  1.811  14

Crystal structure
a b c (Å): 4.4430 10.6332 10.8660
angles (deg): 62.89 78.21 77.94
Space group P-1 (No. 2)
One atom of each set of equivalent atoms:
Cs (0.0000, 0.0000, 0.0000)
Cs (0.1202, 0.3361, 0.4224)
Mg (0.3232, 0.3963, 0.9565)
Te (0.2192, 0.7012, 0.8610)
Te (0.4740, 0.3113, 0.7407)

For Cs2ThMgTe4, the PBE geometry in Alexandria gives the calculated X-ray diffraction stick pattern in this record (Cu Kα (weighted mean of Kα1 and Kα2)).

Main lines, sorted by position (10 to 90 degrees two-theta):
two_theta  d [Å]  I_rel
26.12  3.412  100
34.93  2.569  20
35.47  2.531  10
39.10  2.304  13
39.47  2.283  25
47.60  1.910  14

Crystal structure
a b c (Å): 7.8880 4.6071 9.3334
angles (deg): 90.00 107.23 90.00
Space group P2/m (No. 10)
One atom of each set of equivalent atoms:
Cs (0.0000, 0.0000, 0.0000)
Cs (0.5000, 0.5000, 0.0000)
Th (0.0000, 0.5000, 0.5000)
Mg (0.5000, 0.0000, 0.5000)
Te (0.2316, 0.0000, 0.6946)
Te (0.2795, 0.5000, 0.3200)

For Cs2MgTl12, the PBE geometry in Alexandria gives the calculated X-ray diffraction stick pattern in this record (Cu Kα (weighted mean of Kα1 and Kα2)).

Main lines, sorted by position (10 to 90 degrees two-theta):
two_theta  d [Å]  I_rel
24.93  3.572  30
25.74  3.461  100
30.29  2.951  29
32.37  2.766  42
34.27  2.617  62
36.75  2.445  69

Crystal structure
a b c (Å): 7.4020 7.4020 19.5485
angles (deg): 90.00 90.00 90.00
Space group P4/nbm (No. 125, origin choice 2)
One atom of each set of equivalent atoms:
Cs (0.2500, 0.7500, 0.2488)
Mg (0.2500, 0.7500, 0.0000)
Tl (0.0004, 0.9996, 0.0829)
Tl (0.0856, 0.5856, 0.4353)
Tl (0.2500, 0.2500, 0.1771)
Tl (0.2500, 0.2500, 0.3459)

For CsMg6Tl12, the PBE geometry in Alexandria gives the calculated X-ray diffraction stick pattern in this record (Cu Kα (weighted mean of Kα1 and Kα2)).

Main lines, sorted by position (10 to 90 degrees two-theta):
two_theta  d [Å]  I_rel
28.22  3.162  100
28.49  3.133  49
33.78  2.654  20
34.01  2.636  43
41.48  2.177  36
51.34  1.780  21

Crystal structure
a b c (Å): 13.8010 13.8010 10.5477
angles (deg): 90.00 90.00 120.00
Space group R-3m (No. 166, hexagonal axes)
One atom of each set of equivalent atoms:
Cs (0.0000, 0.0000, 0.0000)
Mg (0.0415, 0.5207, 0.2531)
Tl (0.0000, 0.3821, 0.5000)
Tl (0.0866, 0.1732, 0.3281)

For CsMg6Tl4, the PBE geometry in Alexandria gives the calculated X-ray diffraction stick pattern in this record (Cu Kα (weighted mean of Kα1 and Kα2)).

Main lines, sorted by position (10 to 90 degrees two-theta):
two_theta  d [Å]  I_rel
22.13  4.018  100
23.88  3.727  94
27.92  3.195  77
30.44  2.937  59
37.06  2.426  65
40.96  2.204  76

Crystal structure
a b c (Å): 8.6066 8.6066 4.7699
angles (deg): 90.00 90.00 120.00
Space group P-6m2 (No. 187)
One atom of each set of equivalent atoms:
Cs (0.0000, 0.0000, 0.0000)
Mg (0.2084, 0.4168, 0.5000)
Mg (0.5347, 0.0695, 0.0000)
Tl (0.3333, 0.6667, 0.0000)
Tl (0.4024, 0.2012, 0.5000)